[1]
K3PmNp2Se6: simulated powder diffractogram (Cu Kα), based on DFT lattice parameters and positions (GGA-PBE).
Kinematic intensities with the Lorentz-polarization factor, no thermal factor.

Principal peaks in the range 2θ from 15° to 90°, in order of rising 2θ:
d_spacing, two_theta, intensity
3.665, 24.28, 20
3.121, 28.60, 100
2.463, 36.47, 22
2.276, 39.60, 36
2.143, 42.16, 36
1.767, 51.74, 19

Structure:
```
K3PmNp2Se6
1.0
3.712 -6.431 0.000
3.712 6.431 0.000
-2.474 0.000 7.683
K Pm Np Se
3 1 2 6
Direct
0.000 0.000 0.000
0.335 0.665 0.000
0.665 0.335 0.000
0.500 0.500 0.500
0.167 0.833 0.500
0.833 0.167 0.500
0.093 0.431 0.292
0.231 0.231 0.707
0.431 0.093 0.292
0.569 0.907 0.708
0.769 0.769 0.293
0.907 0.569 0.708
```

[2]
K3PmNp3Se8: simulated powder diffractogram (Cu Kα), based on DFT lattice parameters and positions (GGA-PBE).
Kinematic intensities with the Lorentz-polarization factor, no thermal factor.

Principal peaks in the range 2θ from 15° to 90°, in order of rising 2θ:
d_spacing, two_theta, intensity
3.623, 24.57, 26
3.101, 28.79, 100
2.460, 36.52, 28
2.276, 39.59, 35
2.118, 42.69, 36
2.043, 44.35, 21

Structure:
```
K3PmNp3Se8
1.0
4.236 2.445 7.741
-4.236 2.445 7.741
0.000 -4.891 7.741
K Pm Np Se
3 1 3 8
Direct
0.000 0.500 0.500
0.500 0.000 0.500
0.500 0.500 0.000
0.500 0.500 0.500
0.000 0.000 0.500
0.000 0.500 0.000
0.500 0.000 0.000
0.227 0.738 0.738
0.234 0.234 0.234
0.262 0.262 0.773
0.262 0.773 0.262
0.738 0.227 0.738
0.738 0.738 0.227
0.766 0.766 0.766
0.773 0.262 0.262
```

[3]
K3Pr3NpS8: simulated powder diffractogram (Cu Kα), based on DFT lattice parameters and positions (GGA-PBE).
Kinematic intensities with the Lorentz-polarization factor, no thermal factor.

Principal peaks in the range 2θ from 15° to 90°, in order of rising 2θ:
d_spacing, two_theta, intensity
3.578, 24.88, 36
3.449, 25.83, 34
3.045, 29.34, 100
2.401, 37.45, 25
2.218, 40.67, 35
2.093, 43.23, 35

Structure:
```
K3Pr3NpS8
1.0
4.186 2.417 7.480
-4.186 2.417 7.480
0.000 -4.833 7.480
K Pr Np S
3 3 1 8
Direct
0.000 0.500 0.500
0.500 0.000 0.500
0.500 0.500 0.000
0.000 0.000 0.500
0.000 0.500 0.000
0.500 0.000 0.000
0.500 0.500 0.500
0.236 0.236 0.236
0.249 0.724 0.724
0.276 0.276 0.751
0.276 0.751 0.276
0.724 0.249 0.724
0.724 0.724 0.249
0.751 0.276 0.276
0.764 0.764 0.764
```